1.
For Sb2Au3F18, a crystal structure in OQMD, relaxed with GGA-PBE gives the theoretical powder X-ray diffraction pattern in this record (Cu Kα, 1.54184 Å).

The 8 most intense peaks (10° ≤ 2θ ≤ 90°), by angle:
d_spacing	2θ/deg	intensity
3.802	23.40	100
3.754	23.70	46
3.650	24.39	68
3.523	25.28	46
3.417	26.08	53
3.104	28.77	65
2.980	29.98	30
2.153	41.95	41

Structure:
abc: 8.6232 8.0880 9.6943
angles: 90.00 119.03 90.00
Sites, in units of the cell vectors:
1 Sb 0.1348 0.1286 0.2689
2 Sb 0.1348 0.3714 0.7689
3 Sb 0.8652 0.6286 0.2311
4 Sb 0.8652 0.8714 0.7311
5 Au 0.3233 0.6715 0.1298
6 Au 0.3233 0.8285 0.6298
7 Au 0.5000 0.0000 0.0000
8 Au 0.5000 0.5000 0.5000
9 Au 0.6767 0.1715 0.3702
10 Au 0.6767 0.3285 0.8702
11 F 0.0156 0.2135 0.6080
12 F 0.0156 0.2865 0.1080
13 F 0.0500 0.6047 0.1809
14 F 0.0500 0.8953 0.6809
15 F 0.0569 0.5632 0.6432
16 F 0.0569 0.9368 0.1432
17 F 0.2449 0.2098 0.9303
18 F 0.2449 0.2902 0.4303
19 F 0.2868 0.5223 0.9500
20 F 0.2868 0.9777 0.4500
21 F 0.2884 0.6189 0.5099
22 F 0.2884 0.8811 0.0099
23 F 0.3356 0.1338 0.2372
24 F 0.3356 0.3662 0.7372
25 F 0.3618 0.0344 0.7539
26 F 0.3618 0.4656 0.2539
27 F 0.4028 0.7081 0.8239
28 F 0.4028 0.7919 0.3239
29 F 0.5972 0.2081 0.6761
30 F 0.5972 0.2919 0.1761
31 F 0.6382 0.5344 0.7461
32 F 0.6382 0.9656 0.2461
33 F 0.6644 0.6338 0.2628
34 F 0.6644 0.8662 0.7628
35 F 0.7116 0.1189 0.9901
36 F 0.7116 0.3811 0.4901
37 F 0.7132 0.0223 0.5500
38 F 0.7132 0.4777 0.0500
39 F 0.7551 0.7098 0.5697
40 F 0.7551 0.7902 0.0697
41 F 0.9431 0.0632 0.8568
42 F 0.9431 0.4368 0.3568
43 F 0.9500 0.1047 0.3191
44 F 0.9500 0.3953 0.8191
45 F 0.9844 0.7135 0.8920
46 F 0.9844 0.7865 0.3920

---

2.
For AlNiAsPd4, a crystal structure in OQMD, relaxed with GGA-PBE gives the theoretical powder X-ray diffraction pattern in this record (Cu Kα, 1.54184 Å).

The 8 most intense peaks (10° ≤ 2θ ≤ 90°), by angle:
d_spacing	2θ/deg	intensity
3.354	26.58	16
2.807	31.89	21
2.152	41.98	100
1.985	45.72	40
1.677	54.74	11
1.403	66.65	12
1.281	74.01	17
1.175	81.96	27

Structure:
abc: 3.9690 3.9690 6.7076
angles: 90.00 90.00 90.00
Sites, in units of the cell vectors:
1 Al 0.0000 0.0000 0.0000
2 Ni 0.5000 0.5000 0.0000
3 As 0.5000 0.5000 0.5000
4 Pd 0.0000 0.5000 0.2636
5 Pd 0.0000 0.5000 0.7364
6 Pd 0.5000 0.0000 0.2636
7 Pd 0.5000 0.0000 0.7364

---

3.
For CdAgSI, a crystal structure in OQMD, relaxed with GGA-PBE gives the theoretical powder X-ray diffraction pattern in this record (Cu Kα, 1.54184 Å).

The 8 most intense peaks (10° ≤ 2θ ≤ 90°), by angle:
d_spacing	2θ/deg	intensity
3.904	22.78	76
3.838	23.18	98
3.756	23.69	73
3.569	24.95	59
3.263	27.33	100
3.060	29.19	63
2.139	42.24	48
2.031	44.61	66

Structure:
abc: 7.1825 7.8078 8.8140
angles: 90.00 90.00 90.00
Sites, in units of the cell vectors:
1 Cd 0.1579 0.2475 0.4123
2 Cd 0.3421 0.7525 0.9123
3 Cd 0.6579 0.2525 0.5877
4 Cd 0.8421 0.7475 0.0877
5 Ag 0.0879 0.1772 0.8479
6 Ag 0.4121 0.8228 0.3479
7 Ag 0.5879 0.3228 0.1521
8 Ag 0.9121 0.6772 0.6521
9 S 0.0207 0.8578 0.8691
10 S 0.4793 0.1422 0.3691
11 S 0.5207 0.6422 0.1309
12 S 0.9793 0.3578 0.6309
13 I 0.0069 0.3738 0.1241
14 I 0.4931 0.6262 0.6241
15 I 0.5069 0.1262 0.8759
16 I 0.9931 0.8738 0.3759

---

4.
For GdDyZr2C3, a crystal structure in OQMD, relaxed with GGA-PBE gives the theoretical powder X-ray diffraction pattern in this record (Cu Kα, 1.54184 Å).

The 8 most intense peaks (10° ≤ 2θ ≤ 90°), by angle:
d_spacing	2θ/deg	intensity
2.939	30.42	27
2.879	31.06	58
2.749	32.57	100
2.727	32.84	32
2.637	34.00	93
2.520	35.63	29
1.716	53.39	30
1.662	55.27	21

Structure:
abc: 6.4840 6.4840 5.9051
angles: 111.63 111.63 31.85
Sites, in units of the cell vectors:
1 Gd 0.0000 0.0000 0.0000
2 Dy 0.2407 0.2407 0.5914
3 Zr 0.4780 0.4780 0.4589
4 Zr 0.7610 0.7610 0.1313
5 C 0.3526 0.3526 0.0561
6 C 0.6208 0.6208 0.2993
7 C 0.8856 0.8856 0.5331